This entry pairs a crystal structure of Li4CrNi3P4O16 with its theoretical X-ray diffraction stick pattern. Radiation: Cu Kα (λ = 1.5418 Å). Structure: DFT lattice parameters and positions (GGA+U).
Intensities are scaled so that the largest is 1000.

Crystal structure
a b c (Å): 4.741 6.030 10.174
angles (deg): 90.00 90.65 90.00
Fractional positions:
Li1 0.000 0.247 0.000
Li2 0.000 0.753 0.000
Li3 0.485 0.249 0.504
Li4 0.485 0.751 0.504
Cr1 0.531 0.500 0.222
Ni1 0.009 0.000 0.281
Ni2 0.474 0.000 0.776
Ni3 0.972 0.500 0.725
P1 0.071 0.500 0.411
P2 0.414 0.500 0.904
P3 0.582 0.000 0.094
P4 0.906 0.000 0.597
O1 0.190 0.500 0.554
O2 0.203 0.292 0.342
O3 0.203 0.708 0.342
O4 0.230 0.000 0.602
O5 0.258 0.000 0.101
O6 0.272 0.295 0.835
O7 0.272 0.705 0.835
O8 0.301 0.500 0.048
O9 0.694 0.000 0.951
O10 0.727 0.201 0.165
O11 0.727 0.799 0.165
O12 0.738 0.500 0.900
O13 0.745 0.500 0.404
O14 0.768 0.205 0.668
O15 0.768 0.795 0.668
O16 0.784 0.000 0.454

Peak list (8 most intense, 10° ≤ 2θ ≤ 90°, sorted by position)
(0 0 2), 17.43 deg, intensity 545
(1 0 -1), 20.58 deg, intensity 427
(1 1 -1), 25.38 deg, intensity 649
(1 1 1), 25.53 deg, intensity 741
(0 2 0), 29.63 deg, intensity 1000
(1 1 -3), 35.64 deg, intensity 742
(1 1 3), 35.96 deg, intensity 737
(2 2 2), 52.45 deg, intensity 348